Theoretical powder diffraction line list of Sm5Y4Er2 for Cu Kα, from a GGA-PBE-relaxed structure.
Peak positions follow from Bragg's law for the DFT cell and can differ from measured ones.

Structural model:
```
data_Sm5Y4Er2
_space_group_name_H-M_alt 'P 1'
_space_group_IT_number 1
_cell_length_a 6.653
_cell_length_b 6.653
_cell_length_c 9.347
_cell_angle_alpha 104.66
_cell_angle_beta 104.66
_cell_angle_gamma 66.39
loop_
_space_group_symop_operation_xyz
'x,y,z'
loop_
_atom_site_label
_atom_site_fract_x
_atom_site_fract_y
_atom_site_fract_z
_atom_site_occupancy
Sm1 0.000 0.000 0.000 1
Sm2 0.213 0.655 0.729 1
Sm3 0.345 0.787 0.271 1
Sm4 0.655 0.213 0.729 1
Sm5 0.787 0.345 0.271 1
Y1 0.306 0.306 0.997 1
Y2 0.333 0.333 0.381 1
Y3 0.667 0.667 0.619 1
Y4 0.694 0.694 0.003 1
Er1 0.146 0.146 0.617 1
Er2 0.854 0.854 0.383 1
```

Largest 6 diffraction maxima, most intense first, 10° ≤ 2θ ≤ 90°:
- 33.03 deg, d = 2.712 Å, I 100.0
- 29.73 deg, d = 3.005 Å, I 81.8
- 31.73 deg, d = 2.820 Å, I 54.2
- 32.16 deg, d = 2.784 Å, I 50.1
- 30.09 deg, d = 2.970 Å, I 27.8
- 29.83 deg, d = 2.995 Å, I 21.8

Theoretical powder diffraction line list of Sm4Y3Er2 for Cu Kα, from a GGA-PBE-relaxed structure.
Peak positions follow from Bragg's law for the DFT cell and can differ from measured ones.

Structural model:
```
data_Sm4Y3Er2
_space_group_name_H-M_alt 'P 1'
_space_group_IT_number 1
_cell_length_a 9.762
_cell_length_b 9.762
_cell_length_c 7.082
_cell_angle_alpha 90.00
_cell_angle_beta 90.00
_cell_angle_gamma 119.79
loop_
_space_group_symop_operation_xyz
'x,y,z'
loop_
_atom_site_label
_atom_site_fract_x
_atom_site_fract_y
_atom_site_fract_z
_atom_site_occupancy
Sm1 0.025 0.679 0.000 1
Sm2 0.320 0.350 0.000 1
Sm3 0.321 0.975 0.500 1
Sm4 0.350 0.320 0.500 1
Sm5 0.650 0.680 0.500 1
Sm6 0.679 0.025 0.500 1
Sm7 0.680 0.650 0.000 1
Sm8 0.975 0.321 0.000 1
Y1 0.000 0.000 0.250 1
Y2 0.000 0.000 0.750 1
Y3 0.330 0.670 0.250 1
Y4 0.330 0.670 0.750 1
Y5 0.670 0.330 0.250 1
Y6 0.670 0.330 0.750 1
Er1 0.026 0.347 0.500 1
Er2 0.347 0.026 0.000 1
Er3 0.653 0.974 0.000 1
Er4 0.974 0.653 0.500 1
```

Largest 6 diffraction maxima, most intense first, 10° ≤ 2θ ≤ 90°:
- 31.19 deg, d = 2.867 Å, I 100.0
- 31.68 deg, d = 2.824 Å, I 79.2
- 31.79 deg, d = 2.815 Å, I 38.7
- 40.90 deg, d = 2.206 Å, I 32.7
- 61.85 deg, d = 1.500 Å, I 23.7
- 25.15 deg, d = 3.541 Å, I 23.2

Theoretical powder diffraction line list of Sm2Y7Er4 for Cu Kα, from a GGA-PBE-relaxed structure.
Peak positions follow from Bragg's law for the DFT cell and can differ from measured ones.

Structural model:
```
data_Sm2Y7Er4
_space_group_name_H-M_alt 'P 1'
_space_group_IT_number 1
_cell_length_a 6.161
_cell_length_b 7.956
_cell_length_c 9.423
_cell_angle_alpha 65.10
_cell_angle_beta 83.80
_cell_angle_gamma 82.57
loop_
_space_group_symop_operation_xyz
'x,y,z'
loop_
_atom_site_label
_atom_site_fract_x
_atom_site_fract_y
_atom_site_fract_z
_atom_site_occupancy
Sm1 0.154 0.192 0.384 1
Sm2 0.846 0.808 0.616 1
Y1 0.000 0.500 0.000 1
Y2 0.077 0.345 0.693 1
Y3 0.232 0.038 0.077 1
Y4 0.386 0.731 0.462 1
Y5 0.614 0.269 0.538 1
Y6 0.768 0.962 0.923 1
Y7 0.923 0.655 0.307 1
Er1 0.307 0.883 0.771 1
Er2 0.461 0.576 0.153 1
Er3 0.539 0.424 0.847 1
Er4 0.693 0.117 0.229 1
```

Largest 6 diffraction maxima, most intense first, 10° ≤ 2θ ≤ 90°:
- 30.76 deg, d = 2.906 Å, I 100.0
- 35.67 deg, d = 2.517 Å, I 50.3
- 61.08 deg, d = 1.517 Å, I 27.8
- 51.36 deg, d = 1.779 Å, I 23.5
- 60.98 deg, d = 1.519 Å, I 14.0
- 51.29 deg, d = 1.781 Å, I 11.8

Theoretical powder diffraction line list of Sm5Y2Er6 for Cu Kα, from a GGA-PBE-relaxed structure.
Peak positions follow from Bragg's law for the DFT cell and can differ from measured ones.

Structural model:
```
data_Sm5Y2Er6
_space_group_name_H-M_alt 'P 1'
_space_group_IT_number 1
_cell_length_a 11.649
_cell_length_b 20.349
_cell_length_c 3.571
_cell_angle_alpha 90.00
_cell_angle_beta 90.00
_cell_angle_gamma 90.00
loop_
_space_group_symop_operation_xyz
'x,y,z'
loop_
_atom_site_label
_atom_site_fract_x
_atom_site_fract_y
_atom_site_fract_z
_atom_site_occupancy
Sm1 0.000 0.000 0.000 1
Sm2 0.090 0.274 0.000 1
Sm3 0.200 0.550 0.000 1
Sm4 0.300 0.050 0.000 1
Sm5 0.410 0.774 0.000 1
Sm6 0.500 0.500 0.000 1
Sm7 0.590 0.226 0.000 1
Sm8 0.700 0.950 0.000 1
Sm9 0.800 0.450 0.000 1
Sm10 0.910 0.726 0.000 1
Y1 0.168 0.712 0.500 1
Y2 0.332 0.212 0.500 1
Y3 0.668 0.788 0.500 1
Y4 0.832 0.288 0.500 1
Er1 0.060 0.420 0.500 1
Er2 0.080 0.133 0.500 1
Er3 0.175 0.865 0.000 1
Er4 0.325 0.365 0.000 1
Er5 0.420 0.633 0.500 1
Er6 0.440 0.920 0.500 1
Er7 0.560 0.080 0.500 1
Er8 0.580 0.367 0.500 1
Er9 0.675 0.635 0.000 1
Er10 0.825 0.135 0.000 1
Er11 0.920 0.867 0.500 1
Er12 0.940 0.580 0.500 1
```

Largest 6 diffraction maxima, most intense first, 10° ≤ 2θ ≤ 90°:
- 32.23 deg, d = 2.777 Å, I 100.0
- 31.73 deg, d = 2.820 Å, I 68.7
- 31.02 deg, d = 2.883 Å, I 60.3
- 31.56 deg, d = 2.835 Å, I 47.9
- 34.33 deg, d = 2.612 Å, I 39.4
- 36.67 deg, d = 2.451 Å, I 30.7

Theoretical powder diffraction line list of Sm3Y8Er2 for Cu Kα, from a GGA-PBE-relaxed structure.
Peak positions follow from Bragg's law for the DFT cell and can differ from measured ones.

Structural model:
```
data_Sm3Y8Er2
_space_group_name_H-M_alt 'P 1'
_space_group_IT_number 1
_cell_length_a 10.750
_cell_length_b 10.750
_cell_length_c 5.678
_cell_angle_alpha 90.04
_cell_angle_beta 90.04
_cell_angle_gamma 42.02
loop_
_space_group_symop_operation_xyz
'x,y,z'
loop_
_atom_site_label
_atom_site_fract_x
_atom_site_fract_y
_atom_site_fract_z
_atom_site_occupancy
Sm1 0.000 0.000 0.000 1
Sm2 0.289 0.711 0.500 1
Sm3 0.711 0.289 0.500 1
Y1 0.135 0.135 0.500 1
Y2 0.182 0.601 0.000 1
Y3 0.327 0.327 0.499 1
Y4 0.399 0.818 0.000 1
Y5 0.601 0.182 0.000 1
Y6 0.673 0.673 0.501 1
Y7 0.818 0.399 0.000 1
Y8 0.865 0.865 0.500 1
Er1 0.241 0.241 0.999 1
Er2 0.759 0.759 0.001 1
```

Largest 6 diffraction maxima, most intense first, 10° ≤ 2θ ≤ 90°:
- 33.29 deg, d = 2.691 Å, I 100.0
- 31.51 deg, d = 2.839 Å, I 40.8
- 31.03 deg, d = 2.882 Å, I 31.3
- 29.62 deg, d = 3.016 Å, I 30.8
- 24.74 deg, d = 3.598 Å, I 26.7
- 57.25 deg, d = 1.609 Å, I 20.8

Theoretical powder diffraction line list of Sm3Y8Er2 for Cu Kα, from a GGA-PBE-relaxed structure.
Peak positions follow from Bragg's law for the DFT cell and can differ from measured ones.

Structural model:
```
data_Sm3Y8Er2
_space_group_name_H-M_alt 'P 1'
_space_group_IT_number 1
_cell_length_a 8.106
_cell_length_b 5.205
_cell_length_c 10.648
_cell_angle_alpha 90.00
_cell_angle_beta 104.27
_cell_angle_gamma 90.00
loop_
_space_group_symop_operation_xyz
'x,y,z'
loop_
_atom_site_label
_atom_site_fract_x
_atom_site_fract_y
_atom_site_fract_z
_atom_site_occupancy
Sm1 0.000 0.000 0.000 1
Sm2 0.275 0.500 0.928 1
Sm3 0.725 0.500 0.072 1
Y1 0.108 0.000 0.680 1
Y2 0.160 0.500 0.229 1
Y3 0.381 0.500 0.617 1
Y4 0.458 0.000 0.148 1
Y5 0.542 0.000 0.852 1
Y6 0.619 0.500 0.383 1
Y7 0.840 0.500 0.771 1
Y8 0.892 0.000 0.320 1
Er1 0.325 0.000 0.407 1
Er2 0.675 0.000 0.593 1
```

Largest 6 diffraction maxima, most intense first, 10° ≤ 2θ ≤ 90°:
- 30.89 deg, d = 2.894 Å, I 100.0
- 31.41 deg, d = 2.848 Å, I 84.9
- 34.43 deg, d = 2.605 Å, I 69.1
- 49.47 deg, d = 1.842 Å, I 20.7
- 59.84 deg, d = 1.546 Å, I 20.5
- 39.35 deg, d = 2.290 Å, I 20.2

Copy entry 3 word for word.
Theoretical powder diffraction line list of Sm2Y7Er4 for Cu Kα, from a GGA-PBE-relaxed structure.
Peak positions follow from Bragg's law for the DFT cell and can differ from measured ones.

Structural model:
```
data_Sm2Y7Er4
_space_group_name_H-M_alt 'P 1'
_space_group_IT_number 1
_cell_length_a 6.161
_cell_length_b 7.956
_cell_length_c 9.423
_cell_angle_alpha 65.10
_cell_angle_beta 83.80
_cell_angle_gamma 82.57
loop_
_space_group_symop_operation_xyz
'x,y,z'
loop_
_atom_site_label
_atom_site_fract_x
_atom_site_fract_y
_atom_site_fract_z
_atom_site_occupancy
Sm1 0.154 0.192 0.384 1
Sm2 0.846 0.808 0.616 1
Y1 0.000 0.500 0.000 1
Y2 0.077 0.345 0.693 1
Y3 0.232 0.038 0.077 1
Y4 0.386 0.731 0.462 1
Y5 0.614 0.269 0.538 1
Y6 0.768 0.962 0.923 1
Y7 0.923 0.655 0.307 1
Er1 0.307 0.883 0.771 1
Er2 0.461 0.576 0.153 1
Er3 0.539 0.424 0.847 1
Er4 0.693 0.117 0.229 1
```

Largest 6 diffraction maxima, most intense first, 10° ≤ 2θ ≤ 90°:
- 30.76 deg, d = 2.906 Å, I 100.0
- 35.67 deg, d = 2.517 Å, I 50.3
- 61.08 deg, d = 1.517 Å, I 27.8
- 51.36 deg, d = 1.779 Å, I 23.5
- 60.98 deg, d = 1.519 Å, I 14.0
- 51.29 deg, d = 1.781 Å, I 11.8